For LaSi3Ru, the GGA-PBE geometry in the Materials Project gives the theoretical powder diffraction line list in this record (Cu Kα X-rays).
Peak positions follow from Bragg's law for the DFT cell and can differ from measured ones.

Cell and atoms:
Cell lengths 5.8277, 5.8277, 5.8277 Å; angles 137.07, 137.07, 62.33 degrees
Sites, in units of the cell vectors:
La 0.0000 0.0000 0.0000
Si 0.2611 0.7611 0.5000
Si 0.4159 0.4159 0.0000
Si 0.7611 0.2611 0.5000
Ru 0.6550 0.6550 0.0000

Most intense lines, 15 to 90 degrees two-theta, sorted by position:
2theta  intensity
22.67  39
29.62  58
34.20  100
34.76  59
42.39  51
50.51  20
55.55  49
61.49  17
63.95  18
68.00  16

***

For LaSn3Ru, the GGA-PBE geometry in the Materials Project gives the theoretical powder diffraction line list in this record (Cu Kα X-rays).
Peak positions follow from Bragg's law for the DFT cell and can differ from measured ones.

Cell and atoms:
Cell lengths 9.8767, 9.8767, 9.8767 Å; angles 90.00, 90.00, 90.00 degrees
Sites, in units of the cell vectors:
La 0.0000 0.0000 0.0000
La 0.0000 0.2500 0.5000
La 0.0000 0.7500 0.5000
La 0.2500 0.5000 0.0000
La 0.5000 0.0000 0.2500
La 0.5000 0.0000 0.7500
La 0.5000 0.5000 0.5000
La 0.7500 0.5000 0.0000
Sn 0.0000 0.3156 0.1573
Sn 0.0000 0.3156 0.8427
Sn 0.0000 0.6844 0.1573
Sn 0.0000 0.6844 0.8427
Sn 0.1573 0.0000 0.3156
Sn 0.1573 0.0000 0.6844
Sn 0.1844 0.5000 0.3427
Sn 0.1844 0.5000 0.6573
Sn 0.3156 0.1573 0.0000
Sn 0.3156 0.8427 0.0000
Sn 0.3427 0.1844 0.5000
Sn 0.3427 0.8156 0.5000
Sn 0.5000 0.3427 0.1844
Sn 0.5000 0.3427 0.8156
Sn 0.5000 0.6573 0.1844
Sn 0.5000 0.6573 0.8156
Sn 0.6573 0.1844 0.5000
Sn 0.6573 0.8156 0.5000
Sn 0.6844 0.1573 0.0000
Sn 0.6844 0.8427 0.0000
Sn 0.8156 0.5000 0.3427
Sn 0.8156 0.5000 0.6573
Sn 0.8427 0.0000 0.3156
Sn 0.8427 0.0000 0.6844
Ru 0.2500 0.2500 0.2500
Ru 0.2500 0.2500 0.7500
Ru 0.2500 0.7500 0.2500
Ru 0.2500 0.7500 0.7500
Ru 0.7500 0.2500 0.2500
Ru 0.7500 0.2500 0.7500
Ru 0.7500 0.7500 0.2500
Ru 0.7500 0.7500 0.7500

Most intense lines, 15 to 90 degrees two-theta, sorted by position:
2theta  intensity
32.69  100
33.96  42
36.39  19
37.55  13
44.96  23
54.15  12
57.52  16
62.36  14
66.24  13
82.95  12